Sm5Sn2Sb2: computed powder diffraction line list (copper Kα), based on a DFT-relaxed cell (GGA-PBE, Alexandria).
Lines closer than 0.1° are merged.

Structure:
Unit cell a=15.7447 b=8.2843 c=8.3310 alpha=90.00 beta=90.00 gamma=90.00
Space group Cmce (No. 64)
Inequivalent atoms, fractional coordinates:
1 Sm 0.0000 0.0000 0.0000 (multiplicity 4)
2 Sm 0.1363 0.1695 0.3342 (multiplicity 16)
3 Sn 0.0000 0.1319 0.6322 (multiplicity 8)
4 Sb 0.2028 0.0000 0.0000 (multiplicity 8)

Main lines, in order of falling intensity (10° ≤ 2θ ≤ 80°):
29.42 deg, rel. 1000, (3 1 2)
33.19 deg, rel. 831, (4 2 1)
31.31 deg, rel. 708, (4 2 0)
34.69 deg, rel. 617, (1 3 1)
34.54 deg, rel. 609, (1 1 3)
30.43 deg, rel. 439, (0 2 2)
62.93 deg, rel. 346, (7 3 3)
32.25 deg, rel. 291, (5 1 1)
34.17 deg, rel. 255, (6 0 0)
26.57 deg, rel. 237, (2 2 1)
37.41 deg, rel. 228, (5 1 2)
45.00 deg, rel. 185, (5 3 1)